Simulated PXRD pattern of Mn6O5F7 for copper Kα, from a structure optimized by DFT (PBE+U).

Structure:
```
Mn6O5F7
1.0
4.700 0.000 0.000
0.189 5.725 0.000
0.092 0.573 7.906
Mn O F
6 5 7
Direct
0.000 0.000 0.000
0.013 0.664 0.331
0.038 0.333 0.628
0.499 0.152 0.304
0.526 0.494 0.988
0.565 0.819 0.666
0.230 0.375 0.413
0.336 0.210 0.079
0.722 0.777 0.893
0.818 0.948 0.229
0.831 0.613 0.550
0.228 0.038 0.746
0.238 0.704 0.115
0.313 0.533 0.771
0.330 0.860 0.447
0.714 0.126 0.534
0.750 0.449 0.196
0.822 0.289 0.849
```

Most intense lines, 2θ from 5° to 70°, low angle first:
26.12 deg, I 100, hkl 1 1 1; 27.00 deg, I 93, hkl -1 1 1; 34.02 deg, I 18, hkl 0 0 3; 34.15 deg, I 53, hkl 1 1 -2; 34.48 deg, I 24, hkl 1 -1 2; 51.51 deg, I 16, hkl 2 2 -1; 51.91 deg, I 16, hkl 2 0 3; 52.44 deg, I 30, hkl 2 0 -3; 53.73 deg, I 16, hkl 2 2 2; 58.71 deg, I 17, hkl 0 2 -4